No. 1
# Cs4AlI7
Calculated powder X-ray diffraction pattern, Cu Kα (weighted mean of Kα1 and Kα2). Input: a GGA-PBE-relaxed structure.

Structure:
a b c (Å): 16.618 7.816 11.578
angles (deg): 90.00 116.54 90.00
Space group C2 (No. 5)
One atom of each set of equivalent atoms:
Cs  0.120  0.000  0.307 [4 per cell]
Cs  0.143  0.507  0.993 [4 per cell]
Al  0.000  0.511  0.500 [2 per cell]
I  0.000  0.183  0.500 [2 per cell]
I  0.088  0.505  0.319 [4 per cell]
I  0.124  0.009  0.980 [4 per cell]
I  0.135  0.682  0.664 [4 per cell]

Largest 10 diffraction maxima, sorted by position, 2θ = 5–70°:
22.75 deg, d 3.908, I 65, hkl 0 2 0; 23.94 deg, d 3.716, I 74, hkl 4 0 0; 24.34 deg, d 3.657, I 33, hkl 0 2 1; 25.39 deg, d 3.508, I 39, hkl 2 2 -1; 25.80 deg, d 3.453, I 84, hkl 0 0 3; 26.23 deg, d 3.397, I 100, hkl 4 0 -3; 27.88 deg, d 3.200, I 68, hkl 2 2 -2; 28.88 deg, d 3.091, I 53, hkl 4 0 1; 33.27 deg, d 2.693, I 41, hkl 4 2 0; 34.66 deg, d 2.588, I 50, hkl 0 2 3

---

No. 2
# Nb6IrRu12
Calculated powder X-ray diffraction pattern, Cu Kα (weighted mean of Kα1 and Kα2). Input: a GGA-PBE-relaxed structure.

Structure:
a b c (Å): 11.5107 11.5107 7.9807
angles (deg): 90.00 90.00 120.00
Space group R-3 (No. 148, hexagonal axes)
One atom of each set of equivalent atoms:
Nb  0.0410  0.1865  0.2552 [18 per cell]
Ir  0.0000  0.0000  0.5000 [3 per cell]
Ru  0.0409  0.2546  0.5719 [18 per cell]
Ru  0.0740  0.2464  0.9315 [18 per cell]

Largest 10 diffraction maxima, sorted by position, 2θ = 5–70°:
21.01 deg, d 4.228, I 17, hkl 0 2 1; 37.24 deg, d 2.415, I 54, hkl 2 -1 3; 37.82 deg, d 2.379, I 32, hkl 4 0 1; 39.66 deg, d 2.273, I 39, hkl 4 -1 2; 41.06 deg, d 2.198, I 18, hkl 3 2 1; 41.51 deg, d 2.175, I 100, hkl 1 4 0; 43.58 deg, d 2.077, I 55, hkl 0 3 3; 45.73 deg, d 1.984, I 16, hkl 2 3 2; 46.48 deg, d 1.954, I 42, hkl 4 -2 3; 68.55 deg, d 1.369, I 15, hkl 5 2 3

---

No. 3
# Tb5NdSc3
Calculated powder X-ray diffraction pattern, Cu Kα (weighted mean of Kα1 and Kα2). Input: a GGA-PBE-relaxed structure.

Structure:
a b c (Å): 13.609 10.710 10.460
angles (deg): 90.00 125.37 90.00
Space group C2/m (No. 12)
One atom of each set of equivalent atoms:
Tb  0.000  0.221  0.000 [4 per cell]
Tb  0.101  0.234  0.737 [8 per cell]
Tb  0.154  0.500  0.592 [4 per cell]
Tb  0.200  0.000  0.012 [4 per cell]
Nd  0.235  0.500  0.332 [4 per cell]
Sc  0.000  0.000  0.500 [2 per cell]
Sc  0.000  0.500  0.000 [2 per cell]
Sc  0.027  0.500  0.763 [4 per cell]
Sc  0.071  0.000  0.259 [4 per cell]

Largest 10 diffraction maxima, sorted by position, 2θ = 5–70°:
23.08 deg, d 3.853, I 51, hkl 2 2 0; 23.66 deg, d 3.761, I 27, hkl 2 0 1; 29.01 deg, d 3.078, I 25, hkl 2 2 1; 30.67 deg, d 2.915, I 100, hkl 2 2 -3; 31.23 deg, d 2.864, I 38, hkl 4 2 -2; 31.46 deg, d 2.843, I 19, hkl 0 0 3; 32.56 deg, d 2.750, I 24, hkl 3 1 1; 33.47 deg, d 2.678, I 51, hkl 0 4 0; 34.07 deg, d 2.632, I 30, hkl 5 1 -2; 40.54 deg, d 2.225, I 29, hkl 3 3 1

---

No. 4
# Li6Tb2O7
Calculated powder X-ray diffraction pattern, Cu Kα (weighted mean of Kα1 and Kα2). Input: a GGA-PBE-relaxed structure.

Structure:
a b c (Å): 5.649 6.181 10.910
angles (deg): 90.00 111.02 90.00
Space group P2_1/c (No. 14)
One atom of each set of equivalent atoms:
Li  0.154  0.007  0.114 [4 per cell]
Li  0.174  0.214  0.365 [4 per cell]
Li  0.234  0.750  0.376 [4 per cell]
Tb  0.282  0.021  0.637 [4 per cell]
O  0.021  0.023  0.757 [4 per cell]
O  0.032  0.744  0.006 [4 per cell]
O  0.477  0.162  0.189 [4 per cell]
O  0.500  0.000  0.500 [2 per cell]

Largest 10 diffraction maxima, sorted by position, 2θ = 5–70°:
16.78 deg, d 5.283, I 100, hkl 0 1 1; 19.41 deg, d 4.573, I 81, hkl 1 0 -2; 21.48 deg, d 4.137, I 37, hkl 1 1 -1; 26.00 deg, d 3.427, I 65, hkl 1 1 1; 28.40 deg, d 3.143, I 26, hkl 1 0 2; 28.89 deg, d 3.090, I 27, hkl 0 2 0; 30.03 deg, d 2.975, I 28, hkl 0 1 3; 35.07 deg, d 2.559, I 47, hkl 2 1 -1; 39.41 deg, d 2.287, I 25, hkl 2 0 -4; 40.96 deg, d 2.203, I 40, hkl 1 2 2

---

No. 5
# Ag10Pd6Au
Calculated powder X-ray diffraction pattern, Cu Kα (weighted mean of Kα1 and Kα2). Input: a GGA-PBE-relaxed structure.

Structure:
a b c (Å): 7.8431 7.8431 5.6034
angles (deg): 90.00 90.00 120.00
Space group P-31m (No. 162)
One atom of each set of equivalent atoms:
Ag  0.0000  0.3130  0.3432 [6 per cell]
Ag  0.3333  0.6667  0.0000 [2 per cell]
Ag  0.3333  0.6667  0.5000 [2 per cell]
Pd  0.0000  0.3404  0.8439 [6 per cell]
Au  0.0000  0.0000  0.0000 [1 per cell]

Largest 10 diffraction maxima, sorted by position, 2θ = 5–70°:
15.82 deg, d 5.603, I 3, hkl 0 0 1; 20.55 deg, d 4.322, I 7, hkl 1 0 1; 27.77 deg, d 3.213, I 5, hkl 2 -1 1; 30.79 deg, d 2.904, I 7, hkl 2 0 1; 38.57 deg, d 2.334, I 8, hkl 3 -1 1; 39.53 deg, d 2.280, I 100, hkl 1 1 2; 39.81 deg, d 2.264, I 96, hkl 3 0 0; 50.69 deg, d 1.801, I 2, hkl 1 0 3; 57.36 deg, d 1.606, I 31, hkl 4 -2 2; 61.79 deg, d 1.501, I 4, hkl 3 2 1

---

No. 6
# PaNiPt3
Calculated powder X-ray diffraction pattern, Cu Kα (weighted mean of Kα1 and Kα2). Input: a GGA-PBE-relaxed structure.

Structure:
a b c (Å): 5.379 4.318 7.671
angles (deg): 90.00 90.00 90.00
Space group Pmn2_1 (No. 31)
One atom of each set of equivalent atoms:
Pa  0.000  0.113  0.000 [2 per cell]
Ni  0.000  0.852  0.333 [2 per cell]
Pt  0.000  0.152  0.621 [2 per cell]
Pt  0.247  0.636  0.798 [4 per cell]

Largest 10 diffraction maxima, sorted by position, 2θ = 5–70°:
26.47 deg, d 3.367, I 29, hkl 1 1 0; 31.19 deg, d 2.868, I 57, hkl 0 1 2; 35.47 deg, d 2.531, I 34, hkl 1 1 2; 39.00 deg, d 2.309, I 33, hkl 1 0 3; 39.47 deg, d 2.283, I 55, hkl 2 1 0; 41.00 deg, d 2.201, I 100, hkl 2 0 2; 41.26 deg, d 2.188, I 61, hkl 2 1 1; 43.54 deg, d 2.078, I 44, hkl 0 2 1; 44.49 deg, d 2.036, I 21, hkl 1 1 3; 66.49 deg, d 1.406, I 35, hkl 2 2 3

---

No. 7
# TlFe3S
Calculated powder X-ray diffraction pattern, Cu Kα (weighted mean of Kα1 and Kα2). Input: a GGA-PBE-relaxed structure.

Structure:
a b c (Å): 4.277 4.277 4.277
angles (deg): 90.00 90.00 90.00
Space group Pm-3m (No. 221)
One atom of each set of equivalent atoms:
Tl  0.000  0.000  0.000 [1 per cell]
Fe  0.000  0.500  0.500 [3 per cell]
S  0.500  0.500  0.500 [1 per cell]

Largest 9 diffraction maxima, sorted by position, 2θ = 5–70°:
20.77 deg, d 4.277, I 27, hkl 1 0 0; 29.54 deg, d 3.024, I 66, hkl 1 1 0; 36.38 deg, d 2.469, I 100, hkl 1 1 1; 42.26 deg, d 2.139, I 69, hkl 2 0 0; 47.54 deg, d 1.913, I 15, hkl 2 1 0; 52.40 deg, d 1.746, I 27, hkl 2 1 1; 61.30 deg, d 1.512, I 44, hkl 2 2 0; 65.47 deg, d 1.426, I 8, hkl 3 0 0; 69.50 deg, d 1.353, I 12, hkl 3 1 0

---

No. 8
# Cd7In3Sn
Calculated powder X-ray diffraction pattern, Cu Kα (weighted mean of Kα1 and Kα2). Input: a GGA-PBE-relaxed structure.

Structure:
a b c (Å): 10.416 11.211 5.847
angles (deg): 90.00 121.16 90.00
Space group C2/m (No. 12)
One atom of each set of equivalent atoms:
Cd  0.000  0.000  0.000 [2 per cell]
Cd  0.169  0.258  0.662 [8 per cell]
Cd  0.172  0.500  0.125 [4 per cell]
In  0.000  0.262  0.000 [4 per cell]
In  0.000  0.500  0.500 [2 per cell]
Sn  0.000  0.000  0.500 [2 per cell]

Largest 10 diffraction maxima, sorted by position, 2θ = 5–70°:
30.62 deg, d 2.920, I 100, hkl 2 0 -2; 31.14 deg, d 2.872, I 16, hkl 3 1 0; 31.93 deg, d 2.803, I 92, hkl 0 4 0; 36.90 deg, d 2.436, I 85, hkl 2 2 1; 38.22 deg, d 2.355, I 75, hkl 4 2 -1; 44.83 deg, d 2.022, I 67, hkl 2 4 -2; 57.67 deg, d 1.599, I 20, hkl 0 2 3; 60.19 deg, d 1.537, I 18, hkl 2 6 1; 60.48 deg, d 1.531, I 16, hkl 6 2 -3; 61.12 deg, d 1.516, I 17, hkl 4 6 -1

---

No. 9
# Ba6Sr12Tl
Calculated powder X-ray diffraction pattern, Cu Kα (weighted mean of Kα1 and Kα2). Input: a GGA-PBE-relaxed structure.

Structure:
a b c (Å): 14.3740 14.3740 17.7564
angles (deg): 90.00 90.00 120.00
Space group R-3 (No. 148, hexagonal axes)
One atom of each set of equivalent atoms:
Ba  0.0433  0.5963  0.2062 [18 per cell]
Sr  0.0384  0.8561  0.3125 [18 per cell]
Sr  0.0640  0.2117  0.9110 [18 per cell]
Tl  0.0000  0.0000  0.5000 [3 per cell]

Largest 10 diffraction maxima, sorted by position, 2θ = 5–70°:
8.68 deg, d 10.193, I 23, hkl 1 0 1; 12.25 deg, d 7.228, I 14, hkl 0 1 2; 26.09 deg, d 3.415, I 32, hkl 0 1 5; 26.27 deg, d 3.392, I 100, hkl 4 -3 1; 27.68 deg, d 3.223, I 86, hkl 3 1 2; 29.10 deg, d 3.069, I 21, hkl 4 -2 3; 45.32 deg, d 2.001, I 12, hkl 1 4 6; 45.49 deg, d 1.994, I 16, hkl 2 5 0; 46.31 deg, d 1.961, I 10, hkl 6 -2 5; 48.15 deg, d 1.890, I 20, hkl 7 -2 3

---

No. 10
# AcPm4Pt
Calculated powder X-ray diffraction pattern, Cu Kα (weighted mean of Kα1 and Kα2). Input: a GGA-PBE-relaxed structure.

Structure:
a b c (Å): 5.841 18.972 7.929
angles (deg): 90.00 90.00 90.00
Space group Cmcm (No. 63)
One atom of each set of equivalent atoms:
Ac  0.000  0.110  0.250 [4 per cell]
Pm  0.000  0.120  0.750 [4 per cell]
Pm  0.000  0.294  0.503 [8 per cell]
Pm  0.000  0.500  0.000 [4 per cell]
Pt  0.000  0.397  0.250 [4 per cell]

Largest 10 diffraction maxima, sorted by position, 2θ = 5–70°:
23.57 deg, d 3.774, I 37, hkl 1 3 1; 27.60 deg, d 3.232, I 47, hkl 1 1 2; 28.04 deg, d 3.182, I 60, hkl 1 5 0; 29.36 deg, d 3.042, I 100, hkl 0 4 2; 30.62 deg, d 2.919, I 84, hkl 2 0 0; 36.18 deg, d 2.483, I 22, hkl 1 5 2; 42.93 deg, d 2.107, I 72, hkl 2 4 2; 45.77 deg, d 1.982, I 25, hkl 0 0 4; 54.53 deg, d 1.683, I 21, hkl 1 5 4; 56.07 deg, d 1.640, I 26, hkl 2 0 4

---

No. 11
# TbPm4S5
Calculated powder X-ray diffraction pattern, Cu Kα (weighted mean of Kα1 and Kα2). Input: a GGA-PBE-relaxed structure.

Structure:
a b c (Å): 4.010 5.672 20.090
angles (deg): 90.00 90.00 90.00
Space group Immm (No. 71)
One atom of each set of equivalent atoms:
Tb  0.000  0.000  0.000 [2 per cell]
Pm  0.000  0.000  0.199 [4 per cell]
Pm  0.000  0.000  0.400 [4 per cell]
S  0.000  0.500  0.000 [2 per cell]
S  0.000  0.500  0.201 [4 per cell]
S  0.000  0.500  0.403 [4 per cell]

Largest 6 diffraction maxima, sorted by position, 2θ = 5–70°:
27.22 deg, d 3.276, I 77, hkl 1 1 0; 31.53 deg, d 2.838, I 100, hkl 1 0 5; 45.19 deg, d 2.006, I 72, hkl 2 0 0; 53.56 deg, d 1.711, I 38, hkl 2 1 5; 56.14 deg, d 1.638, I 25, hkl 2 2 0; 65.83 deg, d 1.419, I 12, hkl 0 4 0

---

No. 12
# TbHoBe2
Calculated powder X-ray diffraction pattern, Cu Kα (weighted mean of Kα1 and Kα2). Input: a GGA-PBE-relaxed structure.

Structure:
a b c (Å): 3.404 3.404 6.800
angles (deg): 90.00 90.00 90.00
Space group P4/mmm (No. 123)
One atom of each set of equivalent atoms:
Tb  0.000  0.000  0.000 [1 per cell]
Ho  0.000  0.000  0.500 [1 per cell]
Be  0.500  0.500  0.261 [2 per cell]

Largest 6 diffraction maxima, sorted by position, 2θ = 5–70°:
26.19 deg, d 3.403, I 100, hkl 1 0 0; 37.37 deg, d 2.406, I 93, hkl 1 1 0; 46.21 deg, d 1.965, I 29, hkl 1 1 2; 53.88 deg, d 1.702, I 16, hkl 2 0 0; 60.87 deg, d 1.522, I 39, hkl 2 0 2; 67.41 deg, d 1.389, I 33, hkl 2 1 2